Starting from the PBE geometry in OQMD, the X-ray powder pattern of ErCu2SiGe was simulated for Cu Kα (λ = 1.5418 Å).

Largest 10 diffraction maxima, low angle first, 2θ = 10–90°:
(hkl)  2θ/deg  I (rel.)
1 0 1  24.0  24
1 0 3  34.8  59
1 1 2  36.4  100
2 0 0  45.5  43
1 0 5  50.4  25
2 1 3  58.5  26
1 1 6  64.2  13
2 2 0  66.3  14
2 1 5  70.2  19
3 1 2  78.0  20

Lattice parameters (Å, degrees): 3.990 3.990 10.157 90.00 90.00 90.00
Space group I4mm (No. 107)
Symmetry-distinct sites (fractional):
1 Er 0.000 0.000 0.000
2 Cu 0.000 0.500 0.256
3 Si 0.000 0.000 0.381
4 Ge 0.000 0.000 0.616

Starting from the PBE geometry in OQMD, the X-ray powder pattern of Er3Cu4Si2Ge2 was simulated for Cu Kα (λ = 1.5418 Å).

Largest 10 diffraction maxima, low angle first, 2θ = 10–90°:
(hkl)  2θ/deg  I (rel.)
0 1 3  23.7  20
1 1 2  28.7  27
0 1 5  35.4  25
1 2 1  35.5  100
1 1 4  36.7  93
0 0 6  39.4  30
2 0 0  44.0  35
0 3 3  45.9  37
1 2 7  59.3  17
2 3 3  65.4  25

Lattice parameters (Å, degrees): 4.115 6.584 13.730 90.00 90.00 90.00
Space group Immm (No. 71)
Symmetry-distinct sites (fractional):
1 Er 0.000 0.000 0.000
2 Er 0.000 0.500 0.129
3 Cu 0.000 0.309 0.326
4 Si 0.000 0.000 0.216
5 Ge 0.000 0.193 0.500

Starting from the PBE geometry in OQMD, the X-ray powder pattern of ErTm2Cu4Si2Ge2 was simulated for Cu Kα (λ = 1.5418 Å).

Largest 10 diffraction maxima, low angle first, 2θ = 10–90°:
(hkl)  2θ/deg  I (rel.)
0 1 3  23.7  16
1 1 2  28.8  22
1 2 1  35.6  100
1 1 4  36.8  74
0 0 6  39.5  24
2 0 0  44.2  28
0 3 3  45.9  30
1 2 7  59.4  14
0 2 8  61.0  13
2 3 3  65.6  20

Lattice parameters (Å, degrees): 4.100 6.582 13.699 90.00 90.00 90.00
Space group Immm (No. 71)
Symmetry-distinct sites (fractional):
1 Er 0.000 0.000 0.000
2 Tm 0.000 0.500 0.129
3 Cu 0.000 0.309 0.326
4 Si 0.000 0.000 0.217
5 Ge 0.000 0.193 0.500

Starting from the PBE geometry in OQMD, the X-ray powder pattern of Y2ErCu4Sn2Ge2 was simulated for Cu Kα (λ = 1.5418 Å).

Largest 10 diffraction maxima, low angle first, 2θ = 10–90°:
(hkl)  2θ/deg  I (rel.)
1 1 2  27.4  13
1 2 1  33.8  100
1 1 4  35.1  57
0 0 6  37.8  25
2 0 0  42.1  32
0 3 3  43.6  24
1 2 5  46.3  35
2 0 6  57.8  14
2 3 3  62.2  16
1 5 4  77.1  11

Lattice parameters (Å, degrees): 4.297 6.924 14.300 90.00 90.00 90.00
Space group Immm (No. 71)
Symmetry-distinct sites (fractional):
1 Y 0.000 0.000 0.135
2 Er 0.000 0.500 0.000
3 Cu 0.000 0.189 0.322
4 Sn 0.000 0.297 0.500
5 Ge 0.000 0.500 0.215

Starting from the PBE geometry in OQMD, the X-ray powder pattern of Y2ErCu4Sn2Ge2 was simulated for Cu Kα (λ = 1.5418 Å).

Largest 10 diffraction maxima, low angle first, 2θ = 10–90°:
(hkl)  2θ/deg  I (rel.)
0 1 5  33.8  31
1 2 1  34.4  83
1 1 4  35.0  100
0 0 6  37.3  13
2 0 0  41.6  40
0 3 3  44.8  18
1 2 5  46.5  22
0 3 5  51.8  14
2 1 5  54.6  16
1 5 4  79.6  16

Lattice parameters (Å, degrees): 4.341 6.684 14.451 90.00 90.00 90.00
Space group Immm (No. 71)
Symmetry-distinct sites (fractional):
1 Y 0.000 0.000 0.125
2 Er 0.000 0.500 0.000
3 Cu 0.000 0.190 0.341
4 Sn 0.000 0.500 0.217
5 Ge 0.000 0.308 0.500

Starting from the PBE geometry in OQMD, the X-ray powder pattern of ErCuGeTe3 was simulated for Cu Kα (λ = 1.5418 Å).

Largest 10 diffraction maxima, low angle first, 2θ = 10–90°:
(hkl)  2θ/deg  I (rel.)
0 2 0  12.4  23
0 2 3  27.4  37
1 3 0  28.7  28
1 3 1  29.8  43
0 0 4  32.6  20
1 3 2  33.1  100
1 1 3  33.3  18
0 6 2  41.5  29
1 5 2  41.9  21
2 0 0  43.9  27

Lattice parameters (Å, degrees): 4.127 14.243 10.990 90.00 90.00 90.00
Space group Cmcm (No. 63)
Symmetry-distinct sites (fractional):
1 Er 0.000 0.000 0.000
2 Cu 0.000 0.475 0.250
3 Ge 0.000 0.221 0.750
4 Te 0.000 0.094 0.250
5 Te 0.000 0.351 0.070